[1]
The following is a computed XRD peak list of SrMo6S8. It was derived from the PBE geometry in the Materials Project, using Cu Kα (weighted mean of Kα1 and Kα2).

Structural model:
Unit cell a=6.571 b=6.647 c=6.706 alpha=89.53 beta=89.67 gamma=88.37
Space group P-1 (No. 2)
Inequivalent atoms, fractional coordinates:
Sr (0.000, 0.000, 0.000) (multiplicity 1)
Mo (0.236, 0.561, 0.421) (multiplicity 2)
Mo (0.419, 0.229, 0.562) (multiplicity 2)
Mo (0.436, 0.583, 0.772) (multiplicity 2)
S (0.128, 0.384, 0.740) (multiplicity 2)
S (0.253, 0.240, 0.246) (multiplicity 2)
S (0.260, 0.875, 0.620) (multiplicity 2)
S (0.382, 0.735, 0.128) (multiplicity 2)

Principal peaks in the range 2θ from 10° to 90°, by angle:
2theta, I/Imax, (hkl)
13.2, 95.7, 0 0 1
13.3, 92.3, 0 1 0
13.5, 100.0, 1 0 0
18.7, 42.8, 1 1 0
18.9, 41.3, 1 0 1
33.0, 59.0, 1 -1 2
40.2, 47.2, 2 2 1
40.7, 34.2, 2 1 -2
42.8, 40.1, 1 3 0
45.1, 79.5, 1 -1 3

[2]
The following is a computed XRD peak list of SrMo6S8. It was derived from the PBE geometry in the Materials Project, using Cu Kα (weighted mean of Kα1 and Kα2).

Structural model:
Unit cell a=6.079 b=7.719 c=8.256 alpha=113.44 beta=99.49 gamma=99.13
Space group P-1 (No. 2)
Inequivalent atoms, fractional coordinates:
Sr (0.000, 0.000, 0.000) (multiplicity 1)
Mo (0.013, 0.456, 0.828) (multiplicity 2)
Mo (0.389, 0.720, 0.001) (multiplicity 2)
Mo (0.487, 0.963, 0.344) (multiplicity 2)
S (0.098, 0.901, 0.324) (multiplicity 2)
S (0.100, 0.455, 0.411) (multiplicity 2)
S (0.297, 0.440, 0.065) (multiplicity 2)
S (0.412, 0.841, 0.783) (multiplicity 2)

Principal peaks in the range 2θ from 10° to 90°, by angle:
2theta, I/Imax, (hkl)
12.1, 80.2, 0 0 1
13.3, 43.4, 0 1 -1
17.4, 100.0, 1 -1 0
26.0, 53.5, 1 -2 1
29.8, 45.7, 1 2 -1
30.8, 51.5, 2 0 0
33.1, 19.9, 0 1 -3
40.6, 21.7, 0 3 -3
44.8, 31.0, 0 2 -4
45.4, 35.6, 3 -1 0

[3]
The following is a computed XRD peak list of SrMo6S8. It was derived from the PBE geometry in the Materials Project, using Cu Kα (weighted mean of Kα1 and Kα2).

Structural model:
Unit cell a=9.2885 b=9.2885 c=11.6410 alpha=90.00 beta=90.00 gamma=120.00
Space group R-3 (No. 148, hexagonal axes)
Inequivalent atoms, fractional coordinates:
Sr (0.0000, 0.0000, 0.0000) (multiplicity 3)
Mo (0.0146, 0.1741, 0.4027) (multiplicity 18)
S (0.0000, 0.0000, 0.2453) (multiplicity 6)
S (0.0104, 0.3762, 0.2499) (multiplicity 18)

Principal peaks in the range 2θ from 10° to 90°, by angle:
2theta, I/Imax, (hkl)
13.4, 100.0, 1 0 1
18.8, 21.8, 0 1 2
19.1, 17.5, 1 1 0
30.4, 32.2, 3 -1 1
33.2, 35.7, 3 -2 2
40.3, 26.1, 0 1 5
41.2, 34.3, 4 -3 1
43.0, 27.0, 2 1 4
43.4, 17.1, 3 1 2
45.5, 55.1, 4 -2 3

[4]
The following is a computed XRD peak list of Ta2MoS6. It was derived from the PBE geometry in the Materials Project, using Cu Kα (weighted mean of Kα1 and Kα2).

Structural model:
Unit cell a=5.715 b=9.898 c=6.672 alpha=90.00 beta=106.61 gamma=90.00
Space group Cm (No. 8)
Inequivalent atoms, fractional coordinates:
Ta (0.000, 0.167, 0.000) (multiplicity 4)
Mo (0.000, 0.500, 0.000) (multiplicity 2)
S (0.247, 0.500, 0.756) (multiplicity 2)
S (0.254, 0.164, 0.756) (multiplicity 4)
S (0.410, 0.500, 0.244) (multiplicity 2)
S (0.417, 0.164, 0.244) (multiplicity 4)

Principal peaks in the range 2θ from 10° to 90°, by angle:
2theta, I/Imax, (hkl)
13.9, 100.0, 0 0 1
31.7, 30.8, 1 3 0
32.7, 30.5, 2 0 0
36.6, 34.5, 1 3 1
39.3, 33.2, 2 0 1
45.9, 21.9, 1 3 2
49.6, 15.6, 2 0 2
55.7, 16.0, 0 6 0
57.7, 19.9, 0 0 4
84.4, 9.9, 3 3 3

[5]
The following is a computed XRD peak list of TaMo4S10. It was derived from the PBE geometry in the Materials Project, using Cu Kα (weighted mean of Kα1 and Kα2).

Structural model:
Unit cell a=5.598 b=6.638 c=8.555 alpha=100.56 beta=109.09 gamma=98.06
Space group P1 (No. 1)
Inequivalent atoms, fractional coordinates:
Ta (0.000, 0.000, 0.000) (multiplicity 1)
Mo (0.198, 0.000, 0.403) (multiplicity 1)
Mo (0.398, 0.000, 0.798) (multiplicity 1)
Mo (0.601, 0.000, 0.202) (multiplicity 1)
Mo (0.795, 0.000, 0.597) (multiplicity 1)
S (0.066, 0.757, 0.552) (multiplicity 1)
S (0.194, 0.242, 0.649) (multiplicity 1)
S (0.273, 0.755, 0.951) (multiplicity 1)
S (0.403, 0.244, 0.049) (multiplicity 1)
S (0.465, 0.757, 0.351) (multiplicity 1)
S (0.594, 0.242, 0.447) (multiplicity 1)
S (0.663, 0.755, 0.747) (multiplicity 1)
S (0.793, 0.244, 0.845) (multiplicity 1)
S (0.867, 0.755, 0.155) (multiplicity 1)
S (0.997, 0.244, 0.253) (multiplicity 1)

Principal peaks in the range 2θ from 10° to 90°, by angle:
2theta, I/Imax, (hkl)
13.9, 100.0, 0 1 0
32.3, 27.8, 1 0 -3
33.3, 26.8, 1 0 2
37.2, 33.3, 2 1 -1
39.9, 34.9, -2 2 1
46.4, 7.9, -1 2 3
46.5, 15.6, 2 2 -1
50.2, 14.9, 1 2 2
57.0, 16.8, 3 0 -4
58.9, 13.4, 3 0 1

[6]
The following is a computed XRD peak list of Ta4MoS8. It was derived from the PBE geometry in the Materials Project, using Cu Kα (weighted mean of Kα1 and Kα2).

Structural model:
Unit cell a=3.3225 b=3.3225 c=25.4104 alpha=90.00 beta=90.00 gamma=120.00
Space group P-3m1 (No. 164)
Inequivalent atoms, fractional coordinates:
Ta (0.0000, 0.0000, 0.1248) (multiplicity 2)
Ta (0.0000, 0.0000, 0.3733) (multiplicity 2)
Mo (0.0000, 0.0000, 0.5000) (multiplicity 1)
S (0.3333, 0.6667, 0.3116) (multiplicity 2)
S (0.3333, 0.6667, 0.4360) (multiplicity 2)
S (0.3333, 0.6667, 0.8134) (multiplicity 2)
S (0.3333, 0.6667, 0.9366) (multiplicity 2)

Principal peaks in the range 2θ from 10° to 90°, by angle:
2theta, I/Imax, (hkl)
13.9, 100.0, 0 0 4
28.1, 14.7, 0 0 8
31.1, 54.3, 1 0 0
34.2, 69.2, 1 0 4
42.4, 89.8, 0 1 8
53.7, 19.9, 1 0 12
55.3, 26.2, 1 1 0
57.3, 16.5, 1 1 4
72.1, 18.6, 2 0 8
84.4, 15.8, 1 1 16

[7]
The following is a computed XRD peak list of Te4Mo3S2. It was derived from the PBE geometry in the Materials Project, using Cu Kα (weighted mean of Kα1 and Kα2).

Structural model:
Unit cell a=3.4242 b=3.4242 c=31.5926 alpha=90.00 beta=90.00 gamma=120.00
Space group P-6m2 (No. 187)
Inequivalent atoms, fractional coordinates:
Te (0.0000, 0.0000, 0.1724) (multiplicity 2)
Te (0.0000, 0.0000, 0.2902) (multiplicity 2)
Mo (0.0000, 0.0000, 0.0000) (multiplicity 1)
Mo (0.6667, 0.3333, 0.2313) (multiplicity 2)
S (0.6667, 0.3333, 0.0473) (multiplicity 2)

Principal peaks in the range 2θ from 10° to 90°, by angle:
2theta, I/Imax, (hkl)
11.2, 100.0, 0 0 4
30.1, 65.9, 1 0 0
30.7, 23.5, 1 0 2
34.7, 63.4, 1 0 6
36.2, 80.9, 1 0 7
39.8, 36.2, 1 0 9
41.8, 24.8, 1 0 10
43.9, 53.5, 1 0 11
53.5, 40.1, 1 1 0
75.5, 19.3, 1 1 17

[8]
The following is a computed XRD peak list of Te3Mo2S. It was derived from the PBE geometry in the Materials Project, using Cu Kα (weighted mean of Kα1 and Kα2).

Structural model:
Unit cell a=3.4632 b=3.4632 c=39.2258 alpha=90.00 beta=90.00 gamma=120.00
Space group P3m1 (No. 156)
Inequivalent atoms, fractional coordinates:
Te (0.0000, 0.0000, 0.0000) (multiplicity 1)
Te (0.0000, 0.0000, 0.0941) (multiplicity 1)
Te (0.0000, 0.0000, 0.3758) (multiplicity 1)
Te (0.0000, 0.0000, 0.4699) (multiplicity 1)
Te (0.3333, 0.6667, 0.1879) (multiplicity 1)
Te (0.3333, 0.6667, 0.2820) (multiplicity 1)
Mo (0.0000, 0.0000, 0.2349) (multiplicity 1)
Mo (0.0000, 0.0000, 0.8592) (multiplicity 1)
Mo (0.3333, 0.6667, 0.0470) (multiplicity 1)
Mo (0.3333, 0.6667, 0.4228) (multiplicity 1)
S (0.3333, 0.6667, 0.8213) (multiplicity 1)
S (0.3333, 0.6667, 0.8972) (multiplicity 1)

Principal peaks in the range 2θ from 10° to 90°, by angle:
2theta, I/Imax, (hkl)
11.3, 75.5, 0 0 5
29.8, 58.6, 1 0 0
35.1, 100.0, 1 0 8
36.4, 21.4, 1 0 9
42.5, 58.8, 0 1 13
44.2, 18.2, 1 0 14
52.9, 43.0, 1 1 0
58.2, 15.3, 1 0 21
65.0, 16.6, 0 2 8
74.8, 19.3, 1 1 21

[9]
The following is a computed XRD peak list of Te3Mo2S. It was derived from the PBE geometry in the Materials Project, using Cu Kα (weighted mean of Kα1 and Kα2).

Structural model:
Unit cell a=3.4518 b=3.4518 c=39.5533 alpha=90.00 beta=90.00 gamma=120.00
Space group P3m1 (No. 156)
Inequivalent atoms, fractional coordinates:
Te (0.0000, 0.0000, 0.0000) (multiplicity 1)
Te (0.0000, 0.0000, 0.0935) (multiplicity 1)
Te (0.0000, 0.0000, 0.3752) (multiplicity 1)
Te (0.0000, 0.0000, 0.4688) (multiplicity 1)
Te (0.6667, 0.3333, 0.5638) (multiplicity 1)
Te (0.6667, 0.3333, 0.6573) (multiplicity 1)
Mo (0.0000, 0.0000, 0.2345) (multiplicity 1)
Mo (0.0000, 0.0000, 0.6106) (multiplicity 1)
Mo (0.6667, 0.3333, 0.0468) (multiplicity 1)
Mo (0.6667, 0.3333, 0.4220) (multiplicity 1)
S (0.6667, 0.3333, 0.1968) (multiplicity 1)
S (0.6667, 0.3333, 0.2722) (multiplicity 1)

Principal peaks in the range 2θ from 10° to 90°, by angle:
2theta, I/Imax, (hkl)
11.2, 80.7, 0 0 5
29.9, 61.3, 1 0 0
35.1, 100.0, 0 1 8
37.7, 21.3, 0 1 10
39.2, 14.7, 1 0 11
42.4, 59.5, 1 0 13
44.1, 16.5, 0 1 14
53.1, 36.3, 1 1 0
65.2, 15.8, 2 0 8
74.6, 18.0, 1 1 21

[10]
The following is a computed XRD peak list of Te4Mo3S2. It was derived from the PBE geometry in the Materials Project, using Cu Kα (weighted mean of Kα1 and Kα2).

Structural model:
Unit cell a=3.4216 b=3.4216 c=31.7112 alpha=90.00 beta=90.00 gamma=120.00
Space group P3m1 (No. 156)
Inequivalent atoms, fractional coordinates:
Te (0.0000, 0.0000, 0.0000) (multiplicity 1)
Te (0.0000, 0.0000, 0.1176) (multiplicity 1)
Te (0.3333, 0.6667, 0.2315) (multiplicity 1)
Te (0.3333, 0.6667, 0.3491) (multiplicity 1)
Mo (0.0000, 0.0000, 0.2904) (multiplicity 1)
Mo (0.0000, 0.0000, 0.8276) (multiplicity 1)
Mo (0.3333, 0.6667, 0.0588) (multiplicity 1)
S (0.3333, 0.6667, 0.7805) (multiplicity 1)
S (0.3333, 0.6667, 0.8748) (multiplicity 1)

Principal peaks in the range 2θ from 10° to 90°, by angle:
2theta, I/Imax, (hkl)
11.2, 100.0, 0 0 4
30.2, 45.2, 1 0 0
30.3, 36.5, 0 1 1
34.7, 71.5, 0 1 6
36.2, 93.1, 1 0 7
41.7, 40.5, 0 1 10
43.8, 53.2, 1 0 11
53.6, 51.2, 1 1 0
66.4, 15.3, 0 2 7
75.4, 20.5, 1 1 17